# 1
Diffraction record for NaMg3Al6Si6B3O31. The PXRD pattern is simulated, not measured: it uses DFT lattice parameters and positions (GGA-PBE) and λ = 1.5418 Å (Cu Kα).

Main lines, by intensity (2θ = 15–90°):
| 2θ (°) | I (rel.) |
| --- | --- |
| 34.36 | 100 |
| 29.78 | 85 |
| 22.03 | 78 |
| 20.77 | 72 |
| 25.25 | 51 |
| 43.79 | 41 |
| 46.73 | 36 |
| 57.06 | 25 |

Atomic structure:
```
NaMg3Al6Si6B3O31
1.0
8.070 4.659 2.430
-8.070 4.659 2.430
0.000 -9.318 2.430
Na Mg Al Si B O
1 3 6 6 3 31
Cartesian
0.000 0.000 0.000
0.000 -1.777 2.809
-1.539 0.889 2.809
1.539 0.889 2.809
-1.815 -4.190 2.740
-4.536 0.523 2.740
1.815 -4.190 2.740
-2.721 3.667 2.740
4.536 0.523 2.740
2.721 3.667 2.740
-1.525 -2.686 5.548
-3.089 0.022 5.548
1.525 -2.686 5.548
-1.564 2.664 5.548
3.089 0.022 5.548
1.564 2.664 5.548
0.000 -6.247 4.015
-5.410 3.123 4.015
5.410 3.123 4.015
-5.857 -3.381 3.728
-1.484 -0.857 1.728
-3.467 -4.666 3.730
-5.774 -0.670 3.730
0.000 -3.787 2.206
-3.279 1.893 2.206
-1.212 -5.542 3.947
-5.406 1.721 3.947
1.484 -0.857 1.728
0.000 1.714 1.728
-1.476 -2.775 3.927
-3.142 0.109 3.927
1.212 -5.542 3.947
-4.194 3.821 3.947
0.000 0.000 3.829
1.476 -2.775 3.927
-1.665 2.666 3.927
3.467 -4.666 3.730
-2.307 5.336 3.730
3.279 1.893 2.206
-2.270 -1.311 6.046
3.142 0.109 3.927
1.665 2.666 3.927
5.857 -3.381 3.728
0.000 6.763 3.728
5.774 -0.670 3.730
2.307 5.336 3.730
2.270 -1.311 6.046
0.000 2.622 6.046
5.406 1.721 3.947
4.194 3.821 3.947
```

# 2
Diffraction record for Mg14AlBO16. The PXRD pattern is simulated, not measured: it uses DFT lattice parameters and positions (GGA-PBE) and λ = 1.5418 Å (Cu Kα).

Main lines, by intensity (2θ = 15–90°):
| 2θ (°) | I (rel.) |
| --- | --- |
| 42.36 | 100 |
| 61.66 | 55 |
| 42.64 | 50 |
| 61.45 | 27 |
| 77.67 | 24 |
| 36.54 | 14 |
| 73.66 | 7 |
| 74.05 | 3 |

Atomic structure:
```
Mg14AlBO16
1.0
8.536 0.000 0.000
0.000 8.536 0.000
0.000 0.000 4.241
Mg Al B O
14 1 1 16
Cartesian
0.000 2.083 0.000
0.000 4.268 2.121
0.000 6.452 0.000
2.083 0.000 0.000
2.082 2.082 2.121
2.082 6.454 2.121
2.113 4.268 0.000
4.268 0.000 2.121
4.268 2.113 0.000
4.268 6.423 0.000
6.423 4.268 0.000
6.452 0.000 0.000
6.454 2.082 2.121
6.454 6.454 2.121
4.268 4.268 2.121
0.000 0.000 2.121
0.000 0.000 0.000
0.000 2.297 2.121
0.000 4.268 0.000
0.000 6.239 2.121
2.135 2.135 0.000
2.135 6.401 0.000
2.297 0.000 2.121
2.317 4.268 2.121
4.268 0.000 0.000
4.268 2.317 2.121
4.268 4.268 0.000
4.268 6.219 2.121
6.219 4.268 2.121
6.239 0.000 2.121
6.401 2.135 0.000
6.401 6.401 0.000
```

# 3
Diffraction record for Mg14AlBO16. The PXRD pattern is simulated, not measured: it uses DFT lattice parameters and positions (GGA-PBE) and λ = 1.5418 Å (Cu Kα).

Main lines, by intensity (2θ = 15–90°):
| 2θ (°) | I (rel.) |
| --- | --- |
| 42.47 | 100 |
| 42.68 | 100 |
| 42.28 | 99 |
| 61.78 | 56 |
| 61.63 | 55 |
| 61.47 | 54 |
| 77.71 | 49 |
| 36.56 | 27 |

Atomic structure:
```
Mg14AlBO16
1.0
4.237 0.000 0.000
0.000 8.515 0.000
0.000 0.000 8.551
Mg Al B O
14 1 1 16
Cartesian
0.000 0.000 0.000
0.000 0.000 4.276
0.000 2.150 2.092
0.000 2.150 6.459
0.000 6.365 2.092
0.000 6.365 6.459
2.119 0.000 2.116
2.119 0.000 6.436
2.119 2.130 4.276
2.119 2.157 0.000
2.119 4.257 2.087
2.119 4.257 6.465
2.119 6.358 0.000
2.119 6.385 4.276
0.000 4.257 4.276
0.000 4.257 0.000
0.000 0.000 2.187
0.000 0.000 6.364
0.000 2.015 0.000
0.000 2.246 4.276
0.000 4.257 2.426
0.000 4.257 6.125
0.000 6.269 4.276
0.000 6.500 0.000
2.119 0.000 0.000
2.119 0.000 4.276
2.119 2.141 2.141
2.119 2.141 6.410
2.119 4.257 0.000
2.119 4.257 4.276
2.119 6.374 2.141
2.119 6.374 6.410
```

# 4
Diffraction record for Mn2AlB2. The PXRD pattern is simulated, not measured: it uses DFT lattice parameters and positions (GGA-PBE) and λ = 1.5418 Å (Cu Kα).

Main lines, by intensity (2θ = 15–90°):
| 2θ (°) | I (rel.) |
| --- | --- |
| 39.54 | 100 |
| 45.52 | 92 |
| 45.80 | 78 |
| 51.45 | 46 |
| 31.57 | 32 |
| 76.35 | 28 |
| 32.31 | 26 |
| 82.51 | 25 |

Atomic structure:
```
Mn2AlB2
1.0
2.896 0.000 0.000
0.000 11.082 0.000
0.000 0.000 2.834
Mn Al B
4 2 4
Cartesian
0.000 1.608 0.000
0.000 9.474 0.000
1.448 3.933 0.000
1.448 7.149 0.000
0.000 5.541 1.417
1.448 0.000 1.417
0.000 3.257 1.417
0.000 7.825 1.417
1.448 2.284 1.417
1.448 8.798 1.417
```

# 5
Diffraction record for AlBN2. The PXRD pattern is simulated, not measured: it uses DFT lattice parameters and positions (GGA-PBE) and λ = 1.5418 Å (Cu Kα).

Main lines, by intensity (2θ = 15–90°):
| 2θ (°) | I (rel.) |
| --- | --- |
| 38.68 | 100 |
| 64.98 | 30 |
| 79.60 | 19 |
| 31.80 | 16 |
| 50.90 | 16 |
| 66.44 | 15 |
| 55.04 | 10 |
| 76.89 | 9 |

Atomic structure:
```
AlBN2
1.0
2.814 0.000 0.000
0.000 2.814 0.000
0.000 0.000 4.143
Al B N
1 1 2
Cartesian
0.000 0.000 0.000
1.407 1.407 2.072
0.000 1.407 1.201
1.407 0.000 2.942
```

# 6
Diffraction record for YAl2BN4. The PXRD pattern is simulated, not measured: it uses DFT lattice parameters and positions (GGA-PBE) and λ = 1.5418 Å (Cu Kα).

Main lines, by intensity (2θ = 15–90°):
| 2θ (°) | I (rel.) |
| --- | --- |
| 35.39 | 100 |
| 34.81 | 50 |
| 34.48 | 42 |
| 20.38 | 33 |
| 40.27 | 26 |
| 24.55 | 25 |
| 59.37 | 25 |
| 27.72 | 24 |

Atomic structure:
```
YAl2BN4
1.0
4.359 0.000 0.000
0.000 3.119 0.000
-0.063 0.000 6.436
Y Al B N
1 2 1 4
Cartesian
0.000 0.000 0.000
-0.018 0.000 3.441
2.096 1.560 1.879
2.172 1.560 4.877
1.054 0.000 1.934
1.329 0.000 4.735
2.723 1.560 6.429
3.214 1.560 3.588
```

# 7
Diffraction record for Na2SrAl4B4O14. The PXRD pattern is simulated, not measured: it uses DFT lattice parameters and positions (GGA-PBE) and λ = 1.5418 Å (Cu Kα).

Main lines, by intensity (2θ = 15–90°):
| 2θ (°) | I (rel.) |
| --- | --- |
| 30.57 | 100 |
| 23.54 | 52 |
| 21.45 | 51 |
| 36.28 | 42 |
| 26.68 | 36 |
| 40.15 | 27 |
| 22.24 | 24 |
| 39.82 | 22 |

Atomic structure:
```
Na2SrAl4B4O14
1.0
4.953 0.000 0.000
-2.476 4.289 0.000
0.000 0.000 15.990
Na Sr Al B O
2 1 4 4 14
Cartesian
0.000 0.000 0.000
0.000 0.000 3.642
0.000 0.000 11.144
0.000 2.860 5.477
0.000 2.860 8.878
2.476 1.430 1.067
2.476 1.430 13.598
0.000 2.860 1.537
0.000 2.860 12.965
2.476 1.430 4.833
2.476 1.430 9.661
-0.849 1.765 12.930
-0.787 1.720 1.506
0.000 2.860 7.211
-0.594 4.111 1.506
-0.523 4.142 12.930
1.118 1.667 4.792
1.139 1.758 9.741
1.373 2.671 12.930
2.861 0.108 9.741
1.381 2.748 1.506
2.950 0.135 4.792
2.476 1.430 15.304
3.361 2.488 4.792
3.429 2.424 9.741
```

# 8
Diffraction record for NdAl3B4O12. The PXRD pattern is simulated, not measured: it uses DFT lattice parameters and positions (GGA-PBE) and λ = 1.5418 Å (Cu Kα).

Main lines, by intensity (2θ = 15–90°):
| 2θ (°) | I (rel.) |
| --- | --- |
| 32.70 | 100 |
| 24.95 | 62 |
| 15.58 | 56 |
| 16.20 | 33 |
| 20.32 | 32 |
| 39.10 | 26 |
| 38.01 | 24 |
| 54.48 | 17 |

Atomic structure:
```
NdAl3B4O12
1.0
3.665 -4.716 0.000
3.665 4.716 0.000
-2.637 0.000 10.939
Nd Al B O
2 6 8 24
Cartesian
1.688 4.372 8.204
3.006 -4.372 2.735
2.018 2.356 5.160
3.994 2.356 0.309
3.006 0.835 2.735
1.688 -0.835 8.204
0.700 -2.356 10.630
2.676 -2.356 5.778
0.197 1.753 8.508
1.830 0.270 0.062
0.511 -0.270 5.532
1.516 -1.753 3.039
3.178 1.753 7.900
4.183 0.270 5.407
2.864 -0.270 10.877
4.497 -1.753 2.431
2.805 3.792 0.673
1.718 2.233 3.227
0.523 1.126 5.433
0.934 2.436 9.437
3.207 3.792 4.796
0.292 0.402 8.289
2.769 0.964 0.813
2.442 2.436 6.972
1.611 -0.402 2.819
-0.796 -1.126 10.903
4.294 2.233 2.242
3.244 0.964 4.657
1.450 -0.964 6.282
0.400 -2.233 8.697
5.489 1.126 0.036
3.083 0.402 8.120
2.252 -2.436 3.967
1.925 -0.964 10.126
4.402 -0.402 2.650
1.487 -3.792 6.143
3.760 -2.436 1.502
4.171 -1.126 5.506
2.976 -2.233 7.712
1.889 -3.792 10.266
```

# 9
Diffraction record for NdAl3B4O12. The PXRD pattern is simulated, not measured: it uses DFT lattice parameters and positions (GGA-PBE) and λ = 1.5418 Å (Cu Kα).

Main lines, by intensity (2θ = 15–90°):
| 2θ (°) | I (rel.) |
| --- | --- |
| 32.71 | 100 |
| 16.19 | 77 |
| 24.95 | 63 |
| 18.86 | 47 |
| 38.03 | 42 |
| 31.46 | 41 |
| 41.78 | 36 |
| 53.88 | 28 |

Atomic structure:
```
NdAl3B4O12
1.0
4.706 2.717 2.464
-4.706 2.717 2.464
0.000 -5.434 2.464
Nd Al B O
1 3 4 12
Cartesian
0.000 0.000 0.000
-2.091 -1.812 2.464
-0.524 2.717 2.464
-2.091 1.812 4.927
-4.158 0.000 3.695
2.079 -3.601 3.695
0.000 0.000 3.695
2.079 3.601 3.695
-3.517 -1.197 3.504
-1.927 -3.338 3.695
-3.517 1.197 3.887
-0.699 -1.211 3.696
0.722 -3.644 3.887
-0.699 1.211 3.695
-1.927 3.338 3.695
2.795 -2.447 3.504
1.398 0.000 3.695
0.722 3.644 3.504
3.855 0.000 3.695
2.795 2.447 3.887
```